Entry 1:
Starting from a cell relaxed with PBE, the powder diffraction line list of Tb2Ho was calculated for CuKα.
Lines closer than 0.1° are merged.

Atomic structure:
```
data_Tb2Ho
_chemical_formula_sum 'Tb8 Ho4'
_cell_length_a 11.2012
_cell_length_b 5.0019
_cell_length_c 7.0830
_cell_angle_alpha 90.00
_cell_angle_beta 108.44
_cell_angle_gamma 90.00
_space_group_name_H-M_alt 'C 1 2/m 1'
_space_group_IT_number 12
loop_
_space_group_symop_operation_xyz
'x,y,z'
'-x,-y,-z'
'-x,y,-z'
'x,-y,z'
'x+1/2,y+1/2,z'
'-x+1/2,-y+1/2,-z'
'-x+1/2,y+1/2,-z'
'x+1/2,-y+1/2,z'
loop_
_atom_site_label
_atom_site_type_symbol
_atom_site_fract_x
_atom_site_fract_y
_atom_site_fract_z
Tb1 Tb 0.9997 0.0000 0.2495
Tb2 Tb 0.1669 0.5000 0.5836
Ho1 Ho 0.1666 0.5000 0.0831
```

Main lines, in order of rising 2θ (10° ≤ 2θ ≤ 90°):
d [Å]  two_theta  Rel. int.
2.891  30.9  100
2.503  35.9  51
1.770  51.6  36
1.510  61.4  43
1.445  64.5  12
1.149  84.3  18
1.120  87.0  11
1.119  87.1  6

=====

Entry 2:
Starting from a cell relaxed with PBE, the powder diffraction line list of DySn2Pd7 was calculated for CuKα.
Lines closer than 0.1° are merged.

Atomic structure:
```
data_DySn2Pd7
_chemical_formula_sum 'Dy2 Sn4 Pd14'
_cell_length_a 4.1113
_cell_length_b 4.1113
_cell_length_c 22.3309
_cell_angle_alpha 90.00
_cell_angle_beta 90.00
_cell_angle_gamma 90.00
_space_group_name_H-M_alt 'I 4/m m m'
_space_group_IT_number 139
_space_group_name_Hall '-I 4 2'
loop_
_atom_site_label
_atom_site_type_symbol
_atom_site_fract_x
_atom_site_fract_y
_atom_site_fract_z
Dy1 Dy 0.0000 0.0000 0.0000
Sn1 Sn 0.0000 0.0000 0.3291
Pd1 Pd 0.0000 0.0000 0.5000
Pd2 Pd 0.0000 0.5000 0.0931
Pd3 Pd 0.0000 0.5000 0.2500
```

Main lines, in order of rising 2θ (10° ≤ 2θ ≤ 90°):
d [Å]  two_theta  Rel. int.
3.599  24.7  22
2.291  39.3  100
2.056  44.1  38
1.861  48.9  11
1.454  64.1  12
1.380  67.9  17
1.227  77.8  27
1.146  84.6  9

=====

Entry 3:
Starting from a cell relaxed with PBE, the powder diffraction line list of AcHo2In3 was calculated for CuKα.
Lines closer than 0.1° are merged.

Atomic structure:
```
data_AcHo2In3
_chemical_formula_sum 'Ac1 Ho2 In3'
_cell_length_a 3.8396
_cell_length_b 3.8396
_cell_length_c 11.7343
_cell_angle_alpha 90.00
_cell_angle_beta 90.00
_cell_angle_gamma 90.00
_space_group_name_H-M_alt 'P 4/m m m'
_space_group_IT_number 123
_space_group_name_Hall '-P 4 2'
loop_
_atom_site_label
_atom_site_type_symbol
_atom_site_fract_x
_atom_site_fract_y
_atom_site_fract_z
Ac1 Ac 0.0000 0.0000 0.0000
Ho1 Ho 0.0000 0.0000 0.3450
In1 In 0.5000 0.5000 0.1943
In2 In 0.5000 0.5000 0.5000
```

Main lines, in order of rising 2θ (10° ≤ 2θ ≤ 90°):
d [Å]  two_theta  Rel. int.
2.740  32.7  100
2.715  33.0  53
1.920  47.4  19
1.587  58.1  15
1.572  58.7  37
1.370  68.5  11
1.216  78.7  8
1.214  78.8  9